No. 1
Fe6O11F: simulated X-ray diffraction stick pattern (Cu Kα), based on a DFT-relaxed cell (GGA+U, the Materials Project).

Structural model:
Cell lengths 2.9769, 19.4747, 6.6465 Å; angles 90.00, 90.00, 90.00 degrees
Space group Amm2 (No. 38)
Inequivalent atoms, fractional coordinates:
1 Fe 0.0000 0.0000 0.0000 x2
2 Fe 0.0000 0.1661 0.4882 x4
3 Fe 0.5000 0.0000 0.4718 x2
4 Fe 0.5000 0.1666 0.9880 x4
5 O 0.0000 0.0000 0.2958 x2
6 O 0.0000 0.1665 0.1770 x4
7 O 0.0000 0.1667 0.7993 x4
8 O 0.5000 0.0634 0.9851 x4
9 O 0.5000 0.1014 0.4891 x4
10 O 0.5000 0.2291 0.4877 x4
11 F 0.0000 0.0000 0.6832 x2

Principal peaks in the range 15 to 90 degrees two-theta, in order of rising 2θ:
2θ = 26.83°, 3.323 Å, intensity 100, (0 0 2); 2θ = 27.48°, 3.246 Å, intensity 97, (0 6 0); 2θ = 35.83°, 2.506 Å, intensity 100, (1 3 1); 2θ = 38.78°, 2.322 Å, intensity 22, (0 6 2); 2θ = 53.45°, 1.714 Å, intensity 59, (1 3 3); 2θ = 54.19°, 1.693 Å, intensity 56, (1 9 1); 2θ = 55.28°, 1.662 Å, intensity 16, (0 0 4); 2θ = 68.29°, 1.373 Å, intensity 40, (1 9 3)

No. 2
CaFe5O7: simulated X-ray diffraction stick pattern (Cu Kα), based on a DFT-relaxed cell (GGA+U, the Materials Project).

Structural model:
Cell lengths 5.3950, 18.0239, 6.1672 Å; angles 90.00, 106.70, 90.00 degrees
Space group P2_1/m (No. 11)
Inequivalent atoms, fractional coordinates:
1 Ca 0.0788 0.2500 0.3942 x2
2 Ca 0.0830 0.2500 0.8952 x2
3 Fe 0.0489 0.0736 0.6368 x4
4 Fe 0.0511 0.0746 0.1389 x4
5 Fe 0.4163 0.6547 0.7274 x4
6 Fe 0.4191 0.6517 0.2292 x4
7 Fe 0.5000 0.0000 0.0000 x2
8 Fe 0.5000 0.0000 0.5000 x2
9 O 0.1559 0.6689 0.4061 x4
10 O 0.1556 0.6701 0.9198 x4
11 O 0.2343 0.5312 0.6958 x4
12 O 0.2414 0.5318 0.1729 x4
13 O 0.3450 0.1087 0.4694 x4
14 O 0.3490 0.1054 0.9571 x4
15 O 0.3997 0.2500 0.2253 x2
16 O 0.4177 0.2500 0.7299 x2

Principal peaks in the range 15 to 90 degrees two-theta, in order of rising 2θ:
2θ = 30.23°, 2.956 Å, intensity 33, (1 5 0); 2θ = 33.81°, 2.652 Å, intensity 46, (0 3 2); 2θ = 34.54°, 2.597 Å, intensity 100, (1 6 0); 2θ = 34.72°, 2.584 Å, intensity 29, (2 0 0); 2θ = 40.52°, 2.226 Å, intensity 84, (1 2 2); 2θ = 42.07°, 2.148 Å, intensity 39, (2 3 -2); 2θ = 42.14°, 2.144 Å, intensity 39, (1 3 2); 2θ = 59.65°, 1.550 Å, intensity 28, (2 5 2)

No. 3
Li4CrCo3O8: simulated X-ray diffraction stick pattern (Cu Kα), based on a DFT-relaxed cell (GGA+U, the Materials Project).

Structural model:
Cell lengths 5.8818, 5.8818, 14.4537 Å; angles 90.00, 90.00, 120.00 degrees
Space group R-3m (No. 166, hexagonal axes)
Inequivalent atoms, fractional coordinates:
1 Li 0.0000 0.0000 0.0000 x3
2 Li 0.0000 0.5000 0.0000 x9
3 Cr 0.0000 0.0000 0.5000 x3
4 Co 0.0000 0.5000 0.5000 x9
5 O 0.0000 0.0000 0.2437 x6
6 O 0.0011 0.5005 0.2420 x18

Principal peaks in the range 15 to 90 degrees two-theta, in order of rising 2θ:
2θ = 18.42°, 4.818 Å, intensity 100, (0 0 3); 2θ = 35.80°, 2.508 Å, intensity 43, (0 2 1); 2θ = 43.47°, 2.082 Å, intensity 78, (0 2 4); 2θ = 47.58°, 1.911 Å, intensity 15, (2 0 5); 2θ = 57.44°, 1.604 Å, intensity 16, (0 2 7); 2θ = 63.09°, 1.474 Å, intensity 21, (2 0 8); 2θ = 63.24°, 1.470 Å, intensity 22, (2 2 0); 2θ = 66.48°, 1.406 Å, intensity 15, (2 2 3)

No. 4
Na2LuMoPO8: simulated X-ray diffraction stick pattern (Cu Kα), based on a DFT-relaxed cell (GGA+U, the Materials Project).

Structural model:
Cell lengths 6.8235, 12.0563, 18.1708 Å; angles 90.00, 90.00, 90.00 degrees
Space group Ibca (No. 73)
Inequivalent atoms, fractional coordinates:
1 Na 0.0108 0.0576 0.1537 x16
2 Lu 0.2500 0.1785 0.5000 x8
3 Mo 0.0000 0.2500 0.3243 x8
4 P 0.2500 0.0684 0.0000 x8
5 O 0.0421 0.1290 0.7700 x16
6 O 0.0729 0.1494 0.0071 x16
7 O 0.2142 0.2257 0.3812 x16
8 O 0.2392 0.0088 0.5679 x16

Principal peaks in the range 15 to 90 degrees two-theta, in order of rising 2θ:
2θ = 17.84°, 4.971 Å, intensity 34, (1 1 2); 2θ = 20.26°, 4.384 Å, intensity 47, (1 2 1); 2θ = 27.93°, 3.194 Å, intensity 100, (2 0 2); 2θ = 29.49°, 3.028 Å, intensity 43, (0 0 6); 2θ = 32.85°, 2.727 Å, intensity 76, (1 4 1); 2θ = 35.77°, 2.510 Å, intensity 46, (1 4 3); 2θ = 48.14°, 1.890 Å, intensity 33, (2 0 8); 2θ = 50.56°, 1.805 Å, intensity 37, (2 2 8)

No. 5
Sr2MnNbO6: simulated X-ray diffraction stick pattern (Cu Kα), based on a DFT-relaxed cell (GGA+U, the Materials Project).

Structural model:
Cell lengths 5.7421, 5.7421, 7.8853 Å; angles 90.00, 90.00, 90.00 degrees
Space group I4/m (No. 87)
Inequivalent atoms, fractional coordinates:
1 Sr 0.0000 0.5000 0.2500 x4
2 Mn 0.0000 0.0000 0.0000 x2
3 Nb 0.0000 0.0000 0.5000 x2
4 O 0.0000 0.0000 0.2432 x4
5 O 0.2040 0.7166 0.5000 x8

Principal peaks in the range 15 to 90 degrees two-theta, in order of rising 2θ:
2θ = 31.15°, 2.871 Å, intensity 57, (2 0 0); 2θ = 31.63°, 2.829 Å, intensity 100, (1 1 2); 2θ = 44.63°, 2.030 Å, intensity 37, (2 2 0); 2θ = 46.04°, 1.971 Å, intensity 18, (0 0 4); 2θ = 55.73°, 1.649 Å, intensity 44, (3 1 2); 2θ = 56.64°, 1.625 Å, intensity 20, (2 0 4); 2θ = 66.06°, 1.414 Å, intensity 21, (2 2 4); 2θ = 73.80°, 1.284 Å, intensity 11, (2 4 0)